Starting from DFT lattice parameters and positions (PBE), the powder diffraction line list of PuCu2Ni3 was calculated for Cu Kα (λ = 1.5418 Å).
Kinematic intensities with the Lorentz-polarization factor, no thermal factor.

Crystal structure
Cell lengths 8.871, 8.301, 4.807 Å; angles 90.00, 90.00, 90.00 degrees
Space group Cmcm (No. 63)
Unique sites:
Pu1 0.000 0.213 0.250
Cu1 0.239 0.500 0.000
Ni1 0.000 0.448 0.750
Ni2 0.188 0.243 0.750

Most intense lines, 10 to 80 degrees two-theta, low angle first:
d [Å]  2theta  I/Imax  (hkl)
3.766  23.62  71  1 1 1
3.031  29.47  35  2 2 0
2.410  37.31  100  3 1 1
2.315  38.90  28  1 3 1
2.218  40.68  34  4 0 0
2.113  42.79  38  2 0 2
2.080  43.51  55  0 2 2
2.075  43.62  27  0 4 0
1.863  48.90  53  3 3 1
1.516  61.11  28  4 2 2


Starting from DFT lattice parameters and positions (PBE), the powder diffraction line list of Cu2ReNi4 was calculated for Cu Kα (λ = 1.5418 Å).
Kinematic intensities with the Lorentz-polarization factor, no thermal factor.

Crystal structure
Cell lengths 3.806, 17.266, 2.524 Å; angles 90.00, 90.00, 90.00 degrees
Space group Cmmm (No. 65)
Unique sites:
Cu1 0.000 0.210 0.000
Re1 0.000 0.500 0.500
Ni1 0.000 0.071 0.000
Ni2 0.000 0.355 0.500

Most intense lines, 10 to 80 degrees two-theta, low angle first:
d [Å]  2theta  I/Imax  (hkl)
8.633  10.25  57  0 2 0
3.716  23.94  17  1 1 0
2.088  43.34  100  1 1 1
2.070  43.73  95  1 7 0
1.903  47.80  37  2 0 0
1.897  47.95  34  0 6 1
1.796  50.83  17  1 5 1
1.640  56.07  24  0 8 1
1.344  70.03  21  2 6 1
1.242  76.71  18  2 8 1


Starting from DFT lattice parameters and positions (PBE), the powder diffraction line list of Cu2ReNi was calculated for Cu Kα (λ = 1.5418 Å).
Kinematic intensities with the Lorentz-polarization factor, no thermal factor.

Crystal structure
Cell lengths 8.546, 2.560, 4.640 Å; angles 90.00, 98.00, 90.00 degrees
Space group Cm (No. 8)
Unique sites:
Cu1 0.000 0.000 0.000
Cu2 0.249 0.000 0.779
Re1 0.253 0.500 0.286
Ni1 0.001 0.500 0.493

Most intense lines, 10 to 80 degrees two-theta, low angle first:
d [Å]  2theta  I/Imax  (hkl)
4.595  19.32  34  0 0 1
4.232  20.99  28  2 0 0
3.354  26.58  14  2 0 -1
2.148  42.06  50  2 0 -2
2.127  42.51  100  1 1 1
2.116  42.74  50  4 0 0
1.911  47.59  34  2 0 2
1.813  50.32  61  3 1 -1
1.323  71.28  19  1 1 -3
1.308  72.25  19  5 1 1


Starting from DFT lattice parameters and positions (PBE), the powder diffraction line list of Cu4NiRh was calculated for Cu Kα (λ = 1.5418 Å).
Kinematic intensities with the Lorentz-polarization factor, no thermal factor.

Crystal structure
Cell lengths 2.611, 2.611, 10.730 Å; angles 90.00, 90.00, 90.00 degrees
Space group P4/mmm (No. 123)
Unique sites:
Cu1 0.000 0.000 0.157
Cu2 0.500 0.500 0.321
Ni1 0.500 0.500 0.000
Rh1 0.000 0.000 0.500

Most intense lines, 10 to 80 degrees two-theta, low angle first:
d [Å]  2theta  I/Imax  (hkl)
5.365  16.52  2  0 0 2
2.537  35.39  1  1 0 1
2.347  38.34  4  1 0 2
2.146  42.10  2  0 0 5
2.109  42.89  100  1 0 3
1.846  49.37  33  1 1 0
1.788  51.07  14  0 0 6
1.399  66.85  2  1 1 5
1.305  72.40  10  2 0 0
1.284  73.77  17  1 1 6


Starting from DFT lattice parameters and positions (PBE), the powder diffraction line list of Cu8NiRh2 was calculated for Cu Kα (λ = 1.5418 Å).
Kinematic intensities with the Lorentz-polarization factor, no thermal factor.

Crystal structure
Cell lengths 2.639, 6.159, 9.126 Å; angles 109.01, 98.25, 90.05 degrees
Space group P-1 (No. 2)
Unique sites:
Cu1 0.041 0.369 0.078
Cu2 0.198 0.029 0.395
Cu3 0.363 0.757 0.732
Cu4 0.408 0.253 0.817
Ni1 0.500 0.000 0.000
Rh1 0.206 0.611 0.413

Most intense lines, 10 to 80 degrees two-theta, low angle first:
d [Å]  2theta  I/Imax  (hkl)
2.426  37.06  39  1 -1 0
2.256  39.96  48  0 1 -4
2.113  42.80  39  1 1 1
2.102  43.03  85  0 2 2
2.087  43.35  95  1 0 -3
2.076  43.60  41  0 2 -4
2.035  44.52  42  0 3 -2
1.991  45.57  100  1 -2 1
1.987  45.65  55  1 2 -2
1.790  51.01  38  1 0 3


Starting from DFT lattice parameters and positions (PBE), the powder diffraction line list of Cu6Ni5Rh was calculated for Cu Kα (λ = 1.5418 Å).
Kinematic intensities with the Lorentz-polarization factor, no thermal factor.

Crystal structure
Cell lengths 4.439, 5.065, 6.245 Å; angles 90.00, 90.93, 90.00 degrees
Space group P2/m (No. 10)
Unique sites:
Cu1 0.000 0.245 0.000
Cu2 0.329 0.247 0.339
Ni1 0.164 0.500 0.665
Ni2 0.169 0.000 0.667
Ni3 0.500 0.000 0.000
Rh1 0.500 0.500 0.000

Most intense lines, 10 to 80 degrees two-theta, low angle first:
d [Å]  2theta  I/Imax  (hkl)
6.244  14.18  1  0 0 1
3.934  22.60  1  0 1 1
2.080  43.50  100  2 0 1
1.823  50.04  16  2 0 -2
1.791  50.98  31  1 2 2
1.278  74.22  18  3 2 0
1.267  74.94  4  2 0 4
1.266  75.01  4  0 4 0


Starting from DFT lattice parameters and positions (PBE), the powder diffraction line list of Cu3Ni2Rh4 was calculated for Cu Kα (λ = 1.5418 Å).
Kinematic intensities with the Lorentz-polarization factor, no thermal factor.

Crystal structure
Cell lengths 11.274, 3.737, 5.805 Å; angles 90.00, 108.61, 90.00 degrees
Space group C2/m (No. 12)
Unique sites:
Cu1 0.000 0.000 0.000
Cu2 0.111 0.000 0.674
Ni1 0.170 0.500 0.997
Rh1 0.053 0.500 0.324
Rh2 0.223 0.000 0.328

Most intense lines, 10 to 80 degrees two-theta, low angle first:
d [Å]  2theta  I/Imax  (hkl)
5.502  16.11  3  0 0 1
2.576  34.83  5  3 1 -1
2.151  42.00  100  3 1 1
2.145  42.14  99  3 1 -2
1.879  48.45  32  6 0 -1
1.868  48.74  32  0 2 0
1.834  49.72  30  0 0 3
1.325  71.17  19  6 2 -1
1.315  71.75  9  6 0 2
1.309  72.17  28  0 2 3


Starting from DFT lattice parameters and positions (PBE), the powder diffraction line list of Cu4NiRh2 was calculated for Cu Kα (λ = 1.5418 Å).
Kinematic intensities with the Lorentz-polarization factor, no thermal factor.

Crystal structure
Cell lengths 7.387, 16.538, 5.887 Å; angles 90.00, 90.00, 90.00 degrees
Space group Fdd2 (No. 43)
Unique sites:
Cu1 0.000 0.080 0.000
Cu2 0.060 0.375 0.912
Ni1 0.000 0.000 0.649
Rh1 0.052 0.264 0.564

Most intense lines, 10 to 80 degrees two-theta, low angle first:
d [Å]  2theta  I/Imax  (hkl)
2.773  32.28  14  0 2 2
2.302  39.13  45  2 0 2
2.250  40.07  20  3 1 1
2.209  40.85  21  2 6 0
2.101  43.05  100  1 7 1
2.067  43.79  14  0 8 0
2.011  45.07  76  0 6 2
1.884  48.30  25  1 1 3
1.873  48.62  21  3 5 1
1.387  67.55  13  0 4 4